This entry pairs a crystal structure of Mg6NbNiO8 with its theoretical powder diffractogram. Radiation: Cu Kα (λ = 1.5418 Å). Structure: DFT lattice parameters and positions (GGA+U).

Structure:
Cell: 4.274 4.274 8.880 Å, 90.00 90.00 90.00°
Space group P4/mmm (No. 123)
Inequivalent atoms, fractional coordinates:
Mg: 0.000 0.000 0.000
Mg: 0.000 0.500 0.243
Mg: 0.500 0.500 0.000
Nb: 0.000 0.000 0.500
Ni: 0.500 0.500 0.500
O: 0.000 0.000 0.247
O: 0.000 0.500 0.000
O: 0.000 0.500 0.500
O: 0.500 0.500 0.230

Most intense lines, 5° ≤ 2θ ≤ 70°, most intense first:
2θ (°)  I/Imax
42.29  100.0
9.96  82.3
60.09  60.8
40.64  55.2
35.94  55.2
61.34  29.0
31.26  28.6
20.00  22.6